Starting from a structure optimized by DFT (GGA-PBE), the XRD peak list of TmAuSO was calculated for a wavelength of 1.5418 Å.
Peak positions follow from Bragg's law for the DFT cell and can differ from measured ones.

Top 10 peaks for 2θ = 10–80°, low angle first:
2θ = 19.51°, d = 4.551 Å, I = 42, hkl 0 0 2
2θ = 29.44°, d = 3.034 Å, I = 31, hkl 0 0 3
2θ = 30.41°, d = 2.940 Å, I = 51, hkl 1 0 2
2θ = 34.37°, d = 2.609 Å, I = 100, hkl 1 1 1
2θ = 37.75°, d = 2.383 Å, I = 21, hkl 1 0 3
2θ = 38.53°, d = 2.337 Å, I = 46, hkl 1 1 2
2θ = 47.20°, d = 1.926 Å, I = 40, hkl 2 0 0
2θ = 52.40°, d = 1.746 Å, I = 44, hkl 1 1 4
2θ = 56.61°, d = 1.626 Å, I = 21, hkl 2 0 3
2θ = 79.38°, d = 1.207 Å, I = 19, hkl 3 1 1

a = 3.851 Å, b = 3.851 Å, c = 9.102 Å
α = 90.00°, β = 90.00°, γ = 90.00°
Positions (direct):
Tm 0.000 0.000 0.000
Tm 0.500 0.500 0.240
Au 0.000 0.500 0.621
Au 0.500 0.000 0.621
S 0.000 0.000 0.401
S 0.500 0.500 0.840
O 0.000 0.500 0.120
O 0.500 0.000 0.120



Starting from a structure optimized by DFT (GGA-PBE), the XRD peak list of TmAuSO was calculated for a wavelength of 1.5418 Å.
Peak positions follow from Bragg's law for the DFT cell and can differ from measured ones.

Top 10 peaks for 2θ = 10–80°, low angle first:
2θ = 19.61°, d = 4.528 Å, I = 83, hkl 0 2 0
2θ = 29.60°, d = 3.018 Å, I = 56, hkl 0 3 0
2θ = 30.21°, d = 2.958 Å, I = 98, hkl 1 2 1
2θ = 32.33°, d = 2.769 Å, I = 89, hkl 0 0 2
2θ = 34.00°, d = 2.637 Å, I = 100, hkl 2 1 0
2θ = 37.66°, d = 2.388 Å, I = 50, hkl 1 3 1
2θ = 38.23°, d = 2.354 Å, I = 44, hkl 2 2 0
2θ = 44.39°, d = 2.041 Å, I = 45, hkl 0 3 2
2θ = 47.62°, d = 1.910 Å, I = 91, hkl 2 1 2
2θ = 52.29°, d = 1.749 Å, I = 42, hkl 2 4 0

a = 5.513 Å, b = 9.055 Å, c = 5.539 Å
α = 90.00°, β = 90.00°, γ = 90.00°
Positions (direct):
Tm 0.000 0.118 0.250
Tm 0.000 0.882 0.750
Tm 0.500 0.118 0.750
Tm 0.500 0.882 0.250
Au 0.250 0.500 0.225
Au 0.250 0.500 0.725
Au 0.750 0.500 0.275
Au 0.750 0.500 0.775
S 0.000 0.280 0.750
S 0.000 0.720 0.250
S 0.500 0.280 0.250
S 0.500 0.720 0.750
O 0.250 0.000 0.001
O 0.250 0.000 0.501
O 0.750 0.000 0.499
O 0.750 0.000 0.999



Starting from a structure optimized by DFT (GGA-PBE), the XRD peak list of TmAuSO was calculated for a wavelength of 1.5418 Å.
Peak positions follow from Bragg's law for the DFT cell and can differ from measured ones.

Top 10 peaks for 2θ = 10–80°, low angle first:
2θ = 18.02°, d = 4.922 Å, I = 49, hkl 0 1 1
2θ = 22.64°, d = 3.927 Å, I = 56, hkl 1 1 0
2θ = 27.97°, d = 3.190 Å, I = 100, hkl 1 1 -2
2θ = 28.53°, d = 3.129 Å, I = 83, hkl 1 1 2
2θ = 33.36°, d = 2.686 Å, I = 61, hkl 0 2 1
2θ = 33.72°, d = 2.658 Å, I = 93, hkl 1 1 -3
2θ = 34.42°, d = 2.605 Å, I = 92, hkl 1 1 3
2θ = 36.17°, d = 2.483 Å, I = 36, hkl 1 2 0
2θ = 42.51°, d = 2.127 Å, I = 47, hkl 0 0 5
2θ = 46.24°, d = 1.964 Å, I = 77, hkl 2 2 0

a = 5.558 Å, b = 5.552 Å, c = 10.638 Å
α = 90.00°, β = 91.63°, γ = 90.00°
Positions (direct):
Tm 0.005 0.000 0.098
Tm 0.495 0.001 0.902
Tm 0.505 0.501 0.098
Tm 0.995 0.500 0.902
Au 0.002 0.019 0.721
Au 0.320 0.272 0.503
Au 0.680 0.772 0.497
Au 0.998 0.519 0.279
S 0.296 0.225 0.286
S 0.302 0.312 0.719
S 0.698 0.812 0.281
S 0.704 0.725 0.714
O 0.249 0.249 0.001
O 0.251 0.750 0.000
O 0.749 0.250 0.000
O 0.751 0.749 0.999